1.
For NaRhAuSe3, a crystal structure in Alexandria, relaxed with GGA-PBE gives the calculated powder XRD pattern in this record (Cu Kα X-rays).
Intensities are scaled so that the largest is 100.

Atomic structure:
```
NaRhAuSe3
1.0
7.599 0.000 0.000
0.000 3.805 0.000
-0.483 0.000 9.492
Na Rh Au Se
2 2 2 6
Direct
0.136 0.250 0.226 Na
0.864 0.750 0.774 Na
0.345 0.750 0.872 Rh
0.655 0.250 0.128 Rh
0.113 0.250 0.549 Au
0.887 0.750 0.451 Au
0.136 0.250 0.905 Se
0.320 0.750 0.614 Se
0.433 0.750 0.132 Se
0.567 0.250 0.868 Se
0.680 0.250 0.386 Se
0.864 0.750 0.095 Se
```

Top 10 peaks for 10 to 90 degrees two-theta, sorted by position:
two_theta  Rel. int.
14.57  100.0
18.70  16.8
28.07  13.2
28.20  14.0
30.04  18.0
33.35  80.2
37.90  14.0
43.61  22.4
45.04  16.7
47.80  17.4

***

2.
For Mo7S8, a crystal structure in Alexandria, relaxed with GGA-PBE gives the calculated powder XRD pattern in this record (Cu Kα X-rays).
Intensities are scaled so that the largest is 100.

Atomic structure:
```
Mo7S8
1.0
6.484 0.000 0.000
-0.964 6.451 0.000
-1.275 -1.246 12.931
Mo S
14 16
Direct
0.000 0.000 0.000 Mo
0.006 0.474 0.745 Mo
0.044 0.960 0.495 Mo
0.186 0.145 0.832 Mo
0.230 0.108 0.334 Mo
0.238 0.385 0.020 Mo
0.307 0.351 0.525 Mo
0.314 0.823 0.929 Mo
0.361 0.785 0.427 Mo
0.382 0.063 0.116 Mo
0.425 0.027 0.614 Mo
0.560 0.206 0.950 Mo
0.616 0.162 0.450 Mo
0.781 0.398 0.278 Mo
0.009 0.741 0.329 S
0.060 0.228 0.163 S
0.104 0.185 0.649 S
0.147 0.734 0.087 S
0.189 0.694 0.593 S
0.410 0.484 0.860 S
0.465 0.439 0.359 S
0.498 0.973 0.795 S
0.532 0.943 0.287 S
0.590 0.417 0.113 S
0.641 0.899 0.038 S
0.665 0.363 0.626 S
0.684 0.849 0.538 S
0.917 0.329 0.903 S
0.965 0.811 0.826 S
0.981 0.290 0.420 S
```

Top 10 peaks for 10 to 90 degrees two-theta, sorted by position:
two_theta  Rel. int.
13.75  100.0
13.89  48.1
18.47  18.4
26.81  23.1
39.33  24.7
40.69  21.6
45.56  21.3
46.18  25.6
47.42  25.4
50.30  18.6

***

3.
For SrAuSe2, a crystal structure in Alexandria, relaxed with GGA-PBE gives the calculated powder XRD pattern in this record (Cu Kα X-rays).
Intensities are scaled so that the largest is 100.

Atomic structure:
```
SrAuSe2
1.0
4.224 0.000 0.000
0.000 4.916 0.000
-0.821 0.000 5.346
Sr Au Se
1 1 2
Direct
0.000 0.000 0.000 Sr
0.458 0.500 0.468 Au
0.477 0.500 0.966 Se
0.602 0.000 0.454 Se
```

Top 10 peaks for 10 to 90 degrees two-theta, sorted by position:
two_theta  Rel. int.
21.28  59.8
24.60  22.0
24.99  44.4
28.04  100.0
29.07  33.0
33.53  61.0
36.55  50.0
41.53  39.7
47.34  31.7
50.44  38.3